Simulated XRD peak list
Compound: Dy3Ge6Pt4
Radiation: Cu Kα X-rays
Structure: a PBE-relaxed structure

Top 8 peaks for 5° ≤ 2θ ≤ 70°, by angle:
(hkl)  two_theta  intensity
1 1 2  29.11  28
5 1 2  33.65  100
8 1 0  34.19  55
9 0 2  36.93  38
0 0 4  41.12  34
0 2 0  41.57  47
9 2 2  56.81  22
0 2 4  59.90  23

Cell and atoms:
Cell: 26.317 4.345 8.781 Å, 90.00 90.00 90.00°
Fractional positions:
1 Dy 0.093 0.250 0.112
2 Dy 0.094 0.250 0.636
3 Dy 0.219 0.250 0.875
4 Dy 0.281 0.750 0.375
5 Dy 0.406 0.750 0.136
6 Dy 0.407 0.750 0.612
7 Dy 0.593 0.250 0.388
8 Dy 0.594 0.250 0.864
9 Dy 0.719 0.250 0.625
10 Dy 0.781 0.750 0.125
11 Dy 0.906 0.750 0.364
12 Dy 0.907 0.750 0.888
13 Ge 0.001 0.250 0.378
14 Ge 0.003 0.750 0.128
15 Ge 0.139 0.750 0.874
16 Ge 0.142 0.750 0.374
17 Ge 0.216 0.250 0.227
18 Ge 0.217 0.250 0.522
19 Ge 0.283 0.750 0.022
20 Ge 0.284 0.750 0.727
21 Ge 0.358 0.250 0.874
22 Ge 0.361 0.250 0.374
23 Ge 0.497 0.250 0.628
24 Ge 0.499 0.750 0.878
25 Ge 0.501 0.250 0.122
26 Ge 0.503 0.750 0.372
27 Ge 0.639 0.750 0.626
28 Ge 0.642 0.750 0.126
29 Ge 0.716 0.250 0.273
30 Ge 0.717 0.250 0.978
31 Ge 0.783 0.750 0.478
32 Ge 0.784 0.750 0.773
33 Ge 0.858 0.250 0.626
34 Ge 0.861 0.250 0.126
35 Ge 0.997 0.250 0.872
36 Ge 0.999 0.750 0.622
37 Pt 0.045 0.750 0.871
38 Pt 0.051 0.750 0.379
39 Pt 0.187 0.750 0.122
40 Pt 0.187 0.750 0.626
41 Pt 0.313 0.250 0.126
42 Pt 0.313 0.250 0.622
43 Pt 0.449 0.250 0.879
44 Pt 0.455 0.250 0.371
45 Pt 0.545 0.750 0.629
46 Pt 0.551 0.750 0.121
47 Pt 0.687 0.750 0.378
48 Pt 0.687 0.750 0.874
49 Pt 0.813 0.250 0.374
50 Pt 0.813 0.250 0.878
51 Pt 0.949 0.250 0.621
52 Pt 0.955 0.250 0.129